# 1
Structure and theoretical XRD peak list of Y5ErTmTh2 (a DFT-relaxed cell (PBE, Alexandria); Cu Kα (weighted mean of Kα1 and Kα2)).
Intensities are scaled so that the largest is 100.

```
data_Y5ErTmTh2
_chemical_formula_sum 'Y20 Er4 Tm4 Th8'
_symmetry_space_group_name_H-M 'I 4/m c m'
_symmetry_Int_Tables_number 140
_symmetry_space_group_name_Hall '-I 4 2c'
_cell_length_a 8.6984
_cell_length_b 8.6984
_cell_length_c 15.6853
_cell_angle_alpha 90.00
_cell_angle_beta 90.00
_cell_angle_gamma 90.00
loop_
_atom_site_label
_atom_site_type_symbol
_atom_site_fract_x
_atom_site_fract_y
_atom_site_fract_z
Y1 Y 0.0000 0.0000 0.0000
Y2 Y 0.2116 0.2884 0.1406
Er1 Er 0.0000 0.5000 0.2500
Tm1 Tm 0.0000 0.0000 0.2500
Th1 Th 0.1196 0.3804 0.5000
```

Peak list (10 most intense, 15 to 90 degrees two-theta, sorted by position)
- 2θ = 22.7°, d = 3.921 Å, I = 25.9, (0 0 4)
- 2θ = 23.6°, d = 3.776 Å, I = 26.1, (2 1 1)
- 2θ = 28.6°, d = 3.121 Å, I = 84.9, (2 1 3)
- 2θ = 29.0°, d = 3.075 Å, I = 51.8, (2 2 0)
- 2θ = 30.7°, d = 2.912 Å, I = 100.0, (2 0 4)
- 2θ = 34.6°, d = 2.596 Å, I = 20.6, (3 1 2)
- 2θ = 36.8°, d = 2.442 Å, I = 26.9, (2 1 5)
- 2θ = 37.7°, d = 2.384 Å, I = 36.8, (3 2 1)
- 2θ = 43.2°, d = 2.096 Å, I = 37.0, (4 0 2)
- 2θ = 52.5°, d = 1.742 Å, I = 24.5, (4 2 4)

=====

# 2
Structure and theoretical XRD peak list of YEr2Tm2Th (a DFT-relaxed cell (PBE, Alexandria); Cu Kα (weighted mean of Kα1 and Kα2)).
Intensities are scaled so that the largest is 100.

```
data_YEr2Tm2Th
_chemical_formula_sum 'Y2 Er4 Tm4 Th2'
_symmetry_space_group_name_H-M 'P -1'
_symmetry_Int_Tables_number 2
_cell_length_a 6.1617
_cell_length_b 7.0986
_cell_length_c 8.7489
_cell_angle_alpha 78.29
_cell_angle_beta 83.30
_cell_angle_gamma 89.98
loop_
_symmetry_equiv_pos_as_xyz
'x,y,z'
'-x,-y,-z'
loop_
_atom_site_label
_atom_site_type_symbol
_atom_site_fract_x
_atom_site_fract_y
_atom_site_fract_z
Y1 Y 0.1379 0.2061 0.1673
Er1 Er 0.1419 0.7085 0.1671
Er2 Er 0.2501 0.3726 0.5019
Tm1 Tm 0.3604 0.5426 0.8344
Tm2 Tm 0.3632 0.0406 0.8305
Th1 Th 0.2516 0.8788 0.4993
```

Peak list (10 most intense, 15 to 90 degrees two-theta, sorted by position)
- 2θ = 29.2°, d = 3.059 Å, I = 14.8, (2 0 0)
- 2θ = 29.2°, d = 3.053 Å, I = 28.8, (1 2 1)
- 2θ = 31.6°, d = 2.835 Å, I = 47.8, (0 0 3)
- 2θ = 32.3°, d = 2.772 Å, I = 100.0, (1 -2 1)
- 2θ = 34.0°, d = 2.635 Å, I = 86.1, (-1 2 2)
- 2θ = 40.7°, d = 2.215 Å, I = 19.0, (2 0 3)
- 2θ = 51.4°, d = 1.778 Å, I = 24.6, (3 2 1)
- 2θ = 55.5°, d = 1.655 Å, I = 22.0, (1 2 5)
- 2θ = 58.9°, d = 1.568 Å, I = 17.9, (-1 2 5)
- 2θ = 61.6°, d = 1.506 Å, I = 28.7, (3 2 4)

=====

# 3
Structure and theoretical XRD peak list of Y8Er3Th3 (a DFT-relaxed cell (PBE, Alexandria); Cu Kα (weighted mean of Kα1 and Kα2)).
Intensities are scaled so that the largest is 100.

```
data_Y8Er3Th3
_chemical_formula_sum 'Y16 Er6 Th6'
_symmetry_space_group_name_H-M 'I m m m'
_symmetry_Int_Tables_number 71
_symmetry_space_group_name_Hall '-I 2 2'
_cell_length_a 5.6730
_cell_length_b 10.6659
_cell_length_c 14.9949
_cell_angle_alpha 90.00
_cell_angle_beta 90.00
_cell_angle_gamma 90.00
loop_
_atom_site_label
_atom_site_type_symbol
_atom_site_fract_x
_atom_site_fract_y
_atom_site_fract_z
Y1 Y 0.0000 0.1581 0.2223
Y2 Y 0.0000 0.3398 0.3975
Er1 Er 0.0000 0.0000 0.0000
Er2 Er 0.0000 0.3074 0.0000
Th1 Th 0.0000 0.0000 0.5000
Th2 Th 0.0000 0.5000 0.1833
```

Peak list (10 most intense, 15 to 90 degrees two-theta, sorted by position)
- 2θ = 21.3°, d = 4.165 Å, I = 14.0, (1 1 2)
- 2θ = 29.1°, d = 3.068 Å, I = 32.5, (1 2 3)
- 2θ = 29.8°, d = 3.001 Å, I = 24.4, (1 1 4)
- 2θ = 30.9°, d = 2.897 Å, I = 25.6, (0 3 3)
- 2θ = 31.5°, d = 2.836 Å, I = 46.4, (2 0 0)
- 2θ = 32.0°, d = 2.795 Å, I = 100.0, (1 3 2)
- 2θ = 33.8°, d = 2.651 Å, I = 37.1, (1 0 5)
- 2θ = 44.7°, d = 2.026 Å, I = 25.7, (2 3 3)
- 2θ = 56.5°, d = 1.630 Å, I = 20.0, (3 3 2)
- 2θ = 57.9°, d = 1.591 Å, I = 13.7, (1 3 8)

=====

# 4
Structure and theoretical XRD peak list of Y4Er5Th2 (a DFT-relaxed cell (PBE, Alexandria); Cu Kα (weighted mean of Kα1 and Kα2)).
Intensities are scaled so that the largest is 100.

```
data_Y4Er5Th2
_chemical_formula_sum 'Y4 Er5 Th2'
_symmetry_space_group_name_H-M 'P -1'
_symmetry_Int_Tables_number 2
_cell_length_a 3.5575
_cell_length_b 8.6879
_cell_length_c 11.7570
_cell_angle_alpha 75.34
_cell_angle_beta 81.37
_cell_angle_gamma 89.98
loop_
_symmetry_equiv_pos_as_xyz
'x,y,z'
'-x,-y,-z'
loop_
_atom_site_label
_atom_site_type_symbol
_atom_site_fract_x
_atom_site_fract_y
_atom_site_fract_z
Y1 Y 0.0877 0.2195 0.3234
Y2 Y 0.2724 0.6799 0.9555
Er1 Er 0.0000 0.5000 0.5000
Er2 Er 0.1810 0.9503 0.1382
Er3 Er 0.3644 0.4069 0.7721
Th1 Th 0.4534 0.1381 0.5927
```

Peak list (10 most intense, 15 to 90 degrees two-theta, sorted by position)
- 2θ = 30.9°, d = 2.897 Å, I = 100.0, (0 3 1)
- 2θ = 35.7°, d = 2.515 Å, I = 34.0, (1 2 3)
- 2θ = 36.0°, d = 2.496 Å, I = 16.6, (0 2 -3)
- 2θ = 51.4°, d = 1.779 Å, I = 6.3, (2 0 1)
- 2θ = 51.4°, d = 1.778 Å, I = 6.0, (0 4 5)
- 2θ = 51.6°, d = 1.772 Å, I = 23.8, (1 0 6)
- 2θ = 61.2°, d = 1.516 Å, I = 28.8, (2 3 2)
- 2θ = 61.5°, d = 1.507 Å, I = 13.9, (1 3 -4)
- 2θ = 64.3°, d = 1.448 Å, I = 12.3, (0 2 8)
- 2θ = 83.9°, d = 1.153 Å, I = 5.9, (3 1 0)